Structure and computed PXRD pattern of Ca4Mn4O11 (a DFT-relaxed cell (GGA+U, Alexandria); copper Kα).
Intensities are scaled so that the largest is 100.

```
19
Lattice="5.434 0.000 0.000 0.000 5.434 0.000 0.000 0.000 7.626" Properties=species:S:1:pos:R:3 pbc="T T T"
Ca 0.000 2.717 0.000
Ca 0.000 2.717 3.813
Ca 2.717 0.000 0.000
Ca 2.717 0.000 3.813
Mn 0.000 0.000 1.855
Mn 0.000 0.000 5.772
Mn 2.717 2.717 1.947
Mn 2.717 2.717 5.679
O 0.000 0.000 0.000
O 0.000 0.000 3.813
O 1.384 1.384 1.737
O 1.384 1.384 5.889
O 1.384 4.051 1.737
O 1.384 4.051 5.889
O 2.717 2.717 3.813
O 4.051 1.384 1.737
O 4.051 1.384 5.889
O 4.051 4.051 1.737
O 4.051 4.051 5.889
```

The 12 most intense peaks (2θ = 15–90°), in order of rising 2θ:
2θ (°)	I_rel	hkl
23.15	13	1 1 0
23.33	10	0 0 2
32.96	41	2 0 0
33.10	100	1 1 2
47.31	46	2 2 0
47.70	21	0 0 4
58.95	34	3 1 2
59.20	16	2 0 4
69.14	12	4 0 0
69.45	22	2 2 4
78.79	13	3 3 2
88.34	11	4 0 4